(1)
Simulated powder diffraction line list of La5CePm4 for Cu Kα (λ = 1.5418 Å), from a structure optimized by DFT (GGA-PBE).
Peak positions follow from Bragg's law for the DFT cell and can differ from measured ones.

Crystal structure
```
10
Lattice="8.831 -1.814 0.000 8.831 1.814 0.000 -3.894 0.000 11.030" Properties=species:S:1:pos:R:3 pbc="T T T"
La 0.000 0.000 0.000
La 3.704 0.000 4.344
La 1.890 0.000 10.073
La 11.879 0.000 0.957
La 10.065 0.000 6.686
Ce -1.947 0.000 5.515
Pm -1.255 0.000 8.773
Pm 4.602 0.000 7.756
Pm 9.166 0.000 3.274
Pm 15.024 0.000 2.257
```

Principal peaks in the range 2θ = 5–70°, low angle first:
2θ/deg	d/Å	I_rel
29.02	3.077	16
29.40	3.038	14
30.57	2.925	34
30.90	2.893	100
31.95	2.801	11
50.27	1.815	12
54.55	1.682	20
60.19	1.537	18

(2)
Simulated powder diffraction line list of La8CePm3 for Cu Kα (λ = 1.5418 Å), from a structure optimized by DFT (GGA-PBE).
Peak positions follow from Bragg's law for the DFT cell and can differ from measured ones.

Crystal structure
```
12
Lattice="-4.434 4.434 5.844 4.434 -4.434 5.844 4.434 4.434 -5.844" Properties=species:S:1:pos:R:3 pbc="T T T"
La 3.380 3.380 -3.020
La 2.077 2.077 -0.236
La 2.357 -2.357 6.080
La 1.055 1.055 2.824
La 1.055 -1.055 8.863
La 2.357 2.357 5.607
La -2.357 2.357 6.080
La -1.055 1.055 8.863
Ce 0.000 0.000 0.000
Pm 4.434 0.000 2.922
Pm 0.000 0.000 5.844
Pm 0.000 4.434 2.922
```

Principal peaks in the range 2θ = 5–70°, low angle first:
2θ/deg	d/Å	I_rel
23.69	3.756	54
25.21	3.532	57
28.47	3.136	80
30.60	2.922	69
35.51	2.528	100
42.28	2.138	49
43.67	2.073	42
55.09	1.667	37

(3)
Simulated powder diffraction line list of LaCePm14 for Cu Kα (λ = 1.5418 Å), from a structure optimized by DFT (GGA-PBE).
Peak positions follow from Bragg's law for the DFT cell and can differ from measured ones.

Crystal structure
```
16
Lattice="10.332 0.000 0.000 0.000 5.165 5.165 0.000 -5.165 5.165" Properties=species:S:1:pos:R:3 pbc="T T T"
La 0.000 0.000 0.000
Ce 0.000 0.000 5.174
Pm 0.000 -2.579 2.588
Pm 0.000 2.579 2.588
Pm 2.580 0.000 2.614
Pm 2.580 -2.559 5.170
Pm 2.580 2.559 5.170
Pm 2.581 0.000 7.727
Pm 5.166 -2.586 2.588
Pm 5.166 0.000 0.010
Pm 5.166 0.000 5.166
Pm 5.166 2.586 2.588
Pm 7.752 0.000 2.614
Pm 7.751 -2.559 5.170
Pm 7.751 2.559 5.170
Pm 7.751 0.000 7.727
```

Principal peaks in the range 2θ = 5–70°, low angle first:
2θ/deg	d/Å	I_rel
29.96	2.982	100
34.74	2.583	51
49.94	1.826	36
59.34	1.557	43
62.27	1.491	12

(4)
Simulated powder diffraction line list of La2CePmRh2 for Cu Kα (λ = 1.5418 Å), from a structure optimized by DFT (GGA-PBE).
Peak positions follow from Bragg's law for the DFT cell and can differ from measured ones.

Crystal structure
```
12
Lattice="-3.571 6.713 3.521 3.571 -6.713 3.521 3.571 6.713 -3.521" Properties=species:S:1:pos:R:3 pbc="T T T"
La 1.549 2.620 0.000
La 1.549 -2.620 3.521
La 2.021 9.333 0.000
La 2.021 4.093 3.521
Ce 0.000 0.000 1.761
Ce 0.000 0.000 5.282
Pm 3.571 0.000 1.761
Pm 0.000 6.713 1.761
Rh 5.515 1.382 0.000
Rh 1.945 5.331 0.000
Rh 1.626 1.382 3.521
Rh -1.945 5.331 3.521
```

Principal peaks in the range 2θ = 5–70°, low angle first:
2θ/deg	d/Å	I_rel
28.31	3.152	61
28.63	3.118	64
32.09	2.789	68
35.82	2.507	100
36.75	2.446	29
37.00	2.430	29
44.33	2.043	29
49.04	1.857	21

(5)
Simulated powder diffraction line list of La4CePm3S8 for Cu Kα (λ = 1.5418 Å), from a structure optimized by DFT (GGA-PBE).
Peak positions follow from Bragg's law for the DFT cell and can differ from measured ones.

Crystal structure
```
16
Lattice="4.090 2.362 6.696 -4.090 2.362 6.696 0.000 -4.723 6.696" Properties=species:S:1:pos:R:3 pbc="T T T"
La 0.000 0.000 0.000
La -2.045 -1.181 6.696
La -2.045 1.181 13.393
La 0.000 2.362 6.696
Ce 0.000 0.000 10.045
Pm -4.090 0.000 10.045
Pm -2.045 1.181 3.348
Pm 2.045 1.181 3.348
S 0.000 0.000 4.968
S -2.041 -1.178 11.658
S 0.000 -2.357 8.431
S -2.041 1.178 8.431
S 2.041 -1.178 11.658
S 0.000 2.357 11.658
S 2.041 1.178 8.431
S 0.000 0.000 15.122
```

Principal peaks in the range 2θ = 5–70°, low angle first:
2θ/deg	d/Å	I_rel
26.67	3.343	72
30.89	2.895	100
44.25	2.047	72
52.40	1.746	27
52.46	1.744	9
54.84	1.674	6
54.97	1.670	19
64.37	1.447	12

(6)
Simulated powder diffraction line list of LaCe2Pm3S6 for Cu Kα (λ = 1.5418 Å), from a structure optimized by DFT (GGA-PBE).
Peak positions follow from Bragg's law for the DFT cell and can differ from measured ones.

Crystal structure
```
12
Lattice="3.506 -6.078 0.000 3.506 6.078 0.000 -2.348 0.000 6.626" Properties=species:S:1:pos:R:3 pbc="T T T"
La 0.000 0.000 0.000
Ce 3.506 2.026 0.000
Ce 3.506 -2.026 0.000
Pm 2.332 4.084 3.313
Pm 2.332 0.000 3.313
Pm 2.332 -4.084 3.313
S 1.183 2.056 1.681
S 0.027 0.000 4.964
S 1.183 -2.056 1.681
S 3.481 2.056 4.945
S 4.637 0.000 1.662
S 3.481 -2.056 4.945
```

Principal peaks in the range 2θ = 5–70°, low angle first:
2θ/deg	d/Å	I_rel
26.95	3.309	73
31.21	2.866	100
44.73	2.026	72
52.96	1.729	21
53.03	1.727	15
55.52	1.655	19
55.63	1.652	6
65.10	1.433	12

(7)
Simulated powder diffraction line list of La3CePm3Se8 for Cu Kα (λ = 1.5418 Å), from a structure optimized by DFT (GGA-PBE).
Peak positions follow from Bragg's law for the DFT cell and can differ from measured ones.

Crystal structure
```
15
Lattice="4.228 2.441 6.989 -4.228 2.441 6.989 0.000 -4.882 6.989" Properties=species:S:1:pos:R:3 pbc="T T T"
La -2.114 -1.220 6.989
La -2.114 1.220 13.979
La 0.000 2.441 6.989
Ce 0.000 0.000 10.484
Pm -4.228 0.000 10.484
Pm -2.114 1.220 3.495
Pm 2.114 1.220 3.495
Se -2.142 -1.237 12.199
Se 0.000 0.000 5.192
Se 0.000 -2.474 8.769
Se -2.142 1.237 8.769
Se 2.142 -1.237 12.199
Se 0.000 2.474 12.199
Se 0.000 0.000 15.776
Se 2.142 1.237 8.769
```

Principal peaks in the range 2θ = 5–70°, low angle first:
2θ/deg	d/Å	I_rel
25.77	3.456	7
29.77	3.002	100
42.41	2.131	38
42.78	2.114	37
52.36	1.747	7
52.98	1.728	20
61.82	1.501	12
69.84	1.347	17

(8)
Simulated powder diffraction line list of La5TbCePm2 for Cu Kα (λ = 1.5418 Å), from a structure optimized by DFT (GGA-PBE).
Peak positions follow from Bragg's law for the DFT cell and can differ from measured ones.

Crystal structure
```
18
Lattice="8.264 0.000 0.000 0.000 8.264 0.000 0.000 0.000 9.428" Properties=species:S:1:pos:R:3 pbc="T T T"
La 0.000 0.000 0.000
La 1.603 2.528 2.617
La 1.603 2.528 6.810
La 2.528 6.660 2.617
La 2.528 6.660 6.810
La 4.132 4.132 0.000
La 5.735 1.603 2.617
La 5.735 1.603 6.810
La 6.660 5.735 2.617
La 6.660 5.735 6.810
Tb 0.000 0.000 4.714
Tb 4.132 4.132 4.714
Ce 0.000 4.132 4.714
Ce 4.132 0.000 4.714
Pm 1.075 5.207 0.000
Pm 3.057 1.075 0.000
Pm 5.207 7.189 0.000
Pm 7.189 3.057 0.000
```

Principal peaks in the range 2θ = 5–70°, low angle first:
2θ/deg	d/Å	I_rel
25.89	3.441	29
28.73	3.107	100
30.60	2.922	37
30.74	2.908	71
34.32	2.613	22
38.18	2.357	24
49.39	1.845	22
49.70	1.834	16